Simulated X-ray powder pattern
Compound: LaCdMo2O8
Radiation: a wavelength of 1.5418 Å
Structure: a cell relaxed with GGA+U
Kinematic intensities with the Lorentz-polarization factor, no thermal factor.

Peak list (8 most intense, 2θ = 15–90°, sorted by position)
28.1 deg, rel. 100.0
30.9 deg, rel. 13.9
33.5 deg, rel. 19.2
46.2 deg, rel. 30.2
48.0 deg, rel. 13.9
53.2 deg, rel. 16.0
56.6 deg, rel. 26.6
74.5 deg, rel. 18.9

Cell and atoms:
```
data_LaCdMo2O8
_cell_length_a 6.922
_cell_length_b 6.922
_cell_length_c 6.922
_cell_angle_alpha 134.47
_cell_angle_beta 134.47
_cell_angle_gamma 66.36
_space_group_name_H-M_alt 'P 1'
_space_group_IT_number 1
loop_
_space_group_symop_operation_xyz
'x,y,z'
loop_
_atom_site_label
_atom_site_type_symbol
_atom_site_fract_x
_atom_site_fract_y
_atom_site_fract_z
La1 La 0.000 0.000 0.000
Cd1 Cd 0.250 0.750 0.500
Mo1 Mo 0.500 0.500 0.000
Mo2 Mo 0.750 0.250 0.500
O1 O 0.000 0.081 0.415
O2 O 0.259 0.654 0.080
O3 O 0.346 0.426 0.605
O4 O 0.415 0.000 0.081
O5 O 0.574 0.179 0.920
O6 O 0.666 0.585 0.585
O7 O 0.821 0.741 0.395
O8 O 0.919 0.334 0.919
```